(1)
# NdDy2Si4Au4
Simulated powder diffraction line list, Cu Ka. Input: the GGA-PBE geometry in OQMD.
Intensities are scaled so that the largest is 100.

Largest 8 diffraction maxima, in order of rising 2θ, 10° ≤ 2θ ≤ 90°:
Position (°2θ)  d (Å)  I/Imax
21.2  4.190  13.5
32.9  2.724  23.0
33.3  2.692  100.0
42.6  2.123  19.2
43.3  2.089  18.3
45.0  2.013  14.2
62.4  1.489  12.5
67.4  1.390  12.6

Structural model:
```
NdDy2Si4Au4
1.0
-2.089 2.123 12.576
2.089 -2.123 12.576
2.089 2.123 -12.576
Nd Dy Si Au
1 2 4 4
Direct
0.000 0.000 0.000
0.352 0.852 0.500
0.648 0.148 0.500
0.191 0.691 0.500
0.453 0.453 0.000
0.547 0.547 0.000
0.809 0.309 0.500
0.095 0.595 0.500
0.252 0.252 0.000
0.748 0.748 0.000
0.905 0.405 0.500
```

=====

(2)
# NdDy2Zn2Si4Au2
Simulated powder diffraction line list, Cu Ka. Input: the GGA-PBE geometry in OQMD.
Intensities are scaled so that the largest is 100.

Largest 8 diffraction maxima, in order of rising 2θ, 10° ≤ 2θ ≤ 90°:
Position (°2θ)  d (Å)  I/Imax
23.8  3.733  15.7
29.0  3.081  15.5
33.3  2.691  25.1
33.6  2.666  100.0
37.5  2.400  13.1
43.2  2.096  17.7
43.4  2.086  17.4
45.9  1.976  13.1

Structural model:
```
NdDy2Zn2Si4Au2
1.0
-2.086 2.096 12.325
2.086 -2.096 12.325
2.086 2.096 -12.325
Nd Dy Zn Si Au
1 2 2 4 2
Direct
0.000 0.000 0.000
0.355 0.855 0.500
0.645 0.145 0.500
0.095 0.595 0.500
0.905 0.405 0.500
0.189 0.689 0.500
0.452 0.452 0.000
0.548 0.548 0.000
0.811 0.311 0.500
0.252 0.252 0.000
0.748 0.748 0.000
```

=====

(3)
# SrDyAuO3
Simulated powder diffraction line list, Cu Ka. Input: the GGA-PBE geometry in OQMD.
Intensities are scaled so that the largest is 100.

Largest 8 diffraction maxima, in order of rising 2θ, 10° ≤ 2θ ≤ 90°:
Position (°2θ)  d (Å)  I/Imax
13.7  6.478  39.3
17.1  5.178  36.5
24.8  3.587  44.7
32.1  2.791  95.4
32.9  2.726  100.0
33.8  2.655  36.7
34.6  2.589  56.7
53.8  1.705  44.0

Structural model:
```
SrDyAuO3
1.0
1.829 -6.478 0.000
1.829 6.478 0.000
0.000 0.000 8.617
Sr Dy Au O
2 2 2 6
Direct
0.179 0.821 0.750
0.821 0.179 0.250
0.500 0.500 0.000
0.500 0.500 0.500
0.121 0.879 0.250
0.879 0.121 0.750
0.113 0.887 0.016
0.113 0.887 0.484
0.441 0.559 0.250
0.559 0.441 0.750
0.887 0.113 0.516
0.887 0.113 0.984
```

=====

Q: What is the formula in the first record?
A: NdDy2Si4Au4

=====

Q: Number 2 is which compound?
A: NdDy2Zn2Si4Au2